The following is a computed powder diffraction line list of CaPuFe2O6. It was derived from the GGA+U geometry in Alexandria, using Cu Kα (weighted mean of Kα1 and Kα2).
Intensities are scaled so that the largest is 100.

Main lines, sorted by position (10° ≤ 2θ ≤ 90°):
4.630 Å, I = 100, hkl 0 1 1
3.986 Å, I = 25, hkl 1 1 -1
2.888 Å, I = 56, hkl 1 1 1
2.841 Å, I = 87, hkl 2 0 -2
2.800 Å, I = 26, hkl 0 2 0
1.993 Å, I = 23, hkl 2 2 -2
1.843 Å, I = 19, hkl 1 2 -4
1.632 Å, I = 28, hkl 3 1 -5

Structure:
```
20
Lattice="5.6761 0.0000 0.0000 0.0000 5.5998 0.0000 -5.4889 0.0000 8.2402" Properties=species:S:1:pos:R:3 pbc="T T T"
Ca 0.0000 0.0000 0.0000
Ca -2.7445 2.7999 4.1201
Pu 0.0936 0.0000 4.1201
Pu 2.8380 2.7999 0.0000
Fe -2.8816 0.1297 5.9612
Fe -0.1372 2.6702 1.8411
Fe 0.3243 2.9296 6.3991
Fe 3.0688 5.4701 2.2790
O -0.6862 0.7320 2.1881
O -3.4307 2.0679 6.3082
O 0.9889 3.6227 0.4575
O -1.7556 4.7770 4.5776
O 2.1606 1.0925 0.7942
O -0.5839 1.7074 4.9143
O 0.7710 3.8924 3.3259
O -1.9735 4.5073 7.4460
O 1.9427 0.8228 3.6626
O -0.8018 1.9771 7.7827
O 3.6178 3.5319 1.9320
O 0.8734 4.8678 6.0521
```